SmHSO5: computed powder XRD pattern (Cu Kα (weighted mean of Kα1 and Kα2)), based on a crystal structure in the Materials Project, relaxed with GGA-PBE.

Most intense lines, 10° ≤ 2θ ≤ 80°, by angle:
14.35°, intensity 100.0
19.73°, intensity 49.2
27.79°, intensity 71.3
30.03°, intensity 81.1
30.45°, intensity 46.0
32.03°, intensity 63.0

Lattice parameters (Å, degrees): 4.494 12.347 7.050 90.00 111.20 90.00
Fractional positions:
Sm (0.160, 0.063, 0.302)
Sm (0.160, 0.437, 0.802)
Sm (0.840, 0.563, 0.198)
Sm (0.840, 0.937, 0.698)
H (0.212, 0.658, 0.984)
H (0.212, 0.842, 0.484)
H (0.788, 0.158, 0.516)
H (0.788, 0.342, 0.016)
S (0.404, 0.147, 0.886)
S (0.404, 0.353, 0.386)
S (0.596, 0.647, 0.614)
S (0.596, 0.853, 0.114)
O (0.204, 0.067, 0.952)
O (0.204, 0.433, 0.452)
O (0.219, 0.247, 0.822)
O (0.219, 0.253, 0.322)
O (0.238, 0.585, 0.045)
O (0.238, 0.915, 0.545)
O (0.297, 0.668, 0.444)
O (0.297, 0.832, 0.944)
O (0.465, 0.098, 0.710)
O (0.465, 0.402, 0.210)
O (0.535, 0.598, 0.790)
O (0.535, 0.902, 0.290)
O (0.703, 0.168, 0.056)
O (0.703, 0.332, 0.556)
O (0.762, 0.085, 0.455)
O (0.762, 0.415, 0.955)
O (0.781, 0.747, 0.678)
O (0.781, 0.753, 0.178)
O (0.796, 0.567, 0.548)
O (0.796, 0.933, 0.048)